[1]
BaTl3: simulated XRD peak list (a wavelength of 1.5418 Å), based on the GGA-PBE geometry in the Materials Project.
Peak positions follow from Bragg's law for the DFT cell and can differ from measured ones.

Top 6 peaks for 2θ from 15° to 90°, sorted by position:
| (hkl) | 2theta | I_rel |
| --- | --- | --- |
| 2 0 0 | 26.41 | 26 |
| 2 0 1 | 31.48 | 100 |
| 0 0 2 | 34.03 | 19 |
| 2 2 0 | 46.61 | 20 |
| 2 2 2 | 58.95 | 20 |
| 2 0 3 | 59.31 | 17 |

Crystal structure
a b c (Å): 7.795 7.795 5.269
angles (deg): 90.00 90.00 120.00
Element x y z (fractional)
Ba1 0.333 0.667 0.250
Ba2 0.667 0.333 0.750
Tl1 0.150 0.300 0.750
Tl2 0.150 0.850 0.750
Tl3 0.300 0.150 0.250
Tl4 0.700 0.850 0.750
Tl5 0.850 0.150 0.250
Tl6 0.850 0.700 0.250

=====

[2]
Ba3Tm: simulated XRD peak list (a wavelength of 1.5418 Å), based on the GGA-PBE geometry in the Materials Project.
Peak positions follow from Bragg's law for the DFT cell and can differ from measured ones.

Top 6 peaks for 2θ from 15° to 90°, sorted by position:
| (hkl) | 2theta | I_rel |
| --- | --- | --- |
| 1 1 2 | 26.19 | 100 |
| 0 0 4 | 29.83 | 18 |
| 2 0 0 | 30.58 | 34 |
| 2 0 4 | 43.25 | 26 |
| 1 1 6 | 50.78 | 16 |
| 3 1 2 | 51.74 | 31 |

Crystal structure
a b c (Å): 5.847 5.847 11.980
angles (deg): 90.00 90.00 90.00
Element x y z (fractional)
Ba1 0.000 0.000 0.000
Ba2 0.000 0.500 0.250
Ba3 0.000 0.500 0.750
Ba4 0.500 0.000 0.250
Ba5 0.500 0.000 0.750
Ba6 0.500 0.500 0.500
Tm1 0.000 0.000 0.500
Tm2 0.500 0.500 0.000

=====

[3]
Ba3Tm: simulated XRD peak list (a wavelength of 1.5418 Å), based on the GGA-PBE geometry in the Materials Project.
Peak positions follow from Bragg's law for the DFT cell and can differ from measured ones.

Top 6 peaks for 2θ from 15° to 90°, sorted by position:
| (hkl) | 2theta | I_rel |
| --- | --- | --- |
| 2 0 0 | 24.65 | 23 |
| 0 0 2 | 26.49 | 26 |
| 2 0 1 | 28.04 | 100 |
| 2 2 0 | 43.39 | 20 |
| 2 0 3 | 47.73 | 23 |
| 2 2 2 | 51.56 | 24 |

Crystal structure
a b c (Å): 8.341 8.341 6.729
angles (deg): 90.00 90.00 120.00
Element x y z (fractional)
Ba1 0.171 0.343 0.250
Ba2 0.171 0.829 0.250
Ba3 0.343 0.171 0.750
Ba4 0.657 0.829 0.250
Ba5 0.829 0.171 0.750
Ba6 0.829 0.657 0.750
Tm1 0.333 0.667 0.750
Tm2 0.667 0.333 0.250